[1]
For MgW4O9, a cell relaxed with GGA+U gives the simulated XRD peak list in this record (Cu Ka).
Kinematic intensities with the Lorentz-polarization factor, no thermal factor.

Principal peaks in the range 2θ from 10° to 80°, in order of falling intensity:
- 2θ = 29.1°, intensity 100
- 2θ = 22.7°, intensity 83
- 2θ = 37.2°, intensity 73
- 2θ = 47.9°, intensity 43
- 2θ = 41.5°, intensity 36
- 2θ = 55.7°, intensity 31
- 2θ = 25.9°, intensity 25
- 2θ = 46.5°, intensity 18
- 2θ = 64.1°, intensity 18
- 2θ = 34.8°, intensity 18

Structural model:
Cell: 9.720 9.720 3.910 Å, 90.00 90.00 90.00°
Fractional positions:
1 Mg 0.250 0.250 0.024
2 Mg 0.750 0.750 0.976
3 W 0.031 0.664 0.477
4 W 0.164 0.969 0.523
5 W 0.336 0.531 0.523
6 W 0.469 0.836 0.477
7 W 0.531 0.164 0.523
8 W 0.664 0.469 0.477
9 W 0.836 0.031 0.477
10 W 0.969 0.336 0.523
11 O 0.017 0.127 0.516
12 O 0.031 0.313 0.019
13 O 0.127 0.483 0.516
14 O 0.187 0.031 0.019
15 O 0.250 0.750 0.500
16 O 0.313 0.469 0.019
17 O 0.373 0.017 0.516
18 O 0.469 0.187 0.019
19 O 0.483 0.373 0.516
20 O 0.517 0.627 0.484
21 O 0.531 0.813 0.981
22 O 0.627 0.983 0.484
23 O 0.687 0.531 0.981
24 O 0.750 0.250 0.500
25 O 0.813 0.969 0.981
26 O 0.873 0.517 0.484
27 O 0.969 0.687 0.981
28 O 0.983 0.873 0.484

[2]
For CaHoMn2O6, a cell relaxed with GGA+U gives the simulated XRD peak list in this record (Cu Ka).
Kinematic intensities with the Lorentz-polarization factor, no thermal factor.

Principal peaks in the range 2θ from 10° to 80°, in order of falling intensity:
- 2θ = 33.2°, intensity 100
- 2θ = 20.4°, intensity 35
- 2θ = 19.9°, intensity 29
- 2θ = 33.7°, intensity 25
- 2θ = 47.5°, intensity 23
- 2θ = 59.9°, intensity 23
- 2θ = 39.4°, intensity 21
- 2θ = 32.4°, intensity 20
- 2θ = 47.9°, intensity 16
- 2θ = 26.0°, intensity 15

Structural model:
Cell: 7.604 5.522 5.321 Å, 90.00 90.00 90.00°
Fractional positions:
1 Ca 0.000 0.197 0.000
2 Ca 0.500 0.803 0.500
3 Ho 0.000 0.685 0.530
4 Ho 0.500 0.315 0.030
5 Mn 0.250 0.246 0.512
6 Mn 0.250 0.754 0.012
7 Mn 0.750 0.246 0.512
8 Mn 0.750 0.754 0.012
9 O 0.000 0.281 0.428
10 O 0.000 0.775 0.115
11 O 0.199 0.947 0.708
12 O 0.203 0.461 0.802
13 O 0.297 0.539 0.302
14 O 0.301 0.053 0.208
15 O 0.500 0.225 0.615
16 O 0.500 0.719 0.928
17 O 0.699 0.053 0.208
18 O 0.703 0.539 0.302
19 O 0.797 0.461 0.802
20 O 0.801 0.947 0.708

[3]
For TiFeO3, a cell relaxed with GGA+U gives the simulated XRD peak list in this record (Cu Ka).
Kinematic intensities with the Lorentz-polarization factor, no thermal factor.

Principal peaks in the range 2θ from 10° to 80°, in order of falling intensity:
- 2θ = 30.9°, intensity 100
- 2θ = 43.8°, intensity 53
- 2θ = 41.9°, intensity 35
- 2θ = 49.9°, intensity 27
- 2θ = 34.4°, intensity 27
- 2θ = 49.2°, intensity 19
- 2θ = 50.3°, intensity 18
- 2θ = 63.6°, intensity 18
- 2θ = 72.5°, intensity 15
- 2θ = 32.0°, intensity 14

Structural model:
Cell: 5.012 5.012 7.257 Å, 90.00 90.00 146.12°
Fractional positions:
1 Ti 0.000 0.000 0.000
2 Ti 0.000 0.000 0.500
3 Fe 0.253 0.747 0.750
4 Fe 0.747 0.253 0.250
5 O 0.084 0.916 0.250
6 O 0.369 0.631 0.065
7 O 0.369 0.631 0.435
8 O 0.631 0.369 0.565
9 O 0.631 0.369 0.935
10 O 0.916 0.084 0.750